Calculated X-ray diffraction stick pattern of MgSn3 for CuKα, from a PBE-relaxed structure.
Intensities are scaled so that the largest is 100.

Largest 12 diffraction maxima, sorted by position, 10° ≤ 2θ ≤ 80°:
d = 5.718 Å, intensity 5.9; d = 3.984 Å, intensity 19.7; d = 3.302 Å, intensity 7.9; d = 2.859 Å, intensity 22.9; d = 2.777 Å, intensity 28.2; d = 2.542 Å, intensity 100.0; d = 2.014 Å, intensity 5.6; d = 1.992 Å, intensity 16.5; d = 1.651 Å, intensity 18.5; d = 1.554 Å, intensity 22.9; d = 1.419 Å, intensity 22.7; d = 1.384 Å, intensity 15.8

Cell and atoms:
Cell: 6.6031 6.6031 5.5541 Å, 90.00 90.00 120.00°
Sites, in units of the cell vectors:
Mg: 0.3333 0.6667 0.2500
Mg: 0.6667 0.3333 0.7500
Sn: 0.1682 0.3363 0.7500
Sn: 0.1682 0.8318 0.7500
Sn: 0.3363 0.1682 0.2500
Sn: 0.6637 0.8318 0.7500
Sn: 0.8318 0.1682 0.2500
Sn: 0.8318 0.6637 0.2500

=====

Calculated X-ray diffraction stick pattern of RbLiCu2H3S2O10 for CuKα, from a PBE-relaxed structure.
Intensities are scaled so that the largest is 100.

Largest 12 diffraction maxima, sorted by position, 10° ≤ 2θ ≤ 80°:
d = 7.394 Å, intensity 20.4; d = 4.679 Å, intensity 22.2; d = 4.649 Å, intensity 22.1; d = 4.592 Å, intensity 27.4; d = 3.554 Å, intensity 100.0; d = 3.289 Å, intensity 29.1; d = 3.273 Å, intensity 28.2; d = 2.940 Å, intensity 66.7; d = 2.879 Å, intensity 20.8; d = 2.830 Å, intensity 29.4; d = 2.340 Å, intensity 21.1; d = 2.325 Å, intensity 20.9

Cell and atoms:
Cell: 5.8439 5.8733 7.6940 Å, 76.48 76.74 66.30°
Sites, in units of the cell vectors:
Rb: 0.0000 0.0000 0.0000
Li: 0.6677 0.6681 0.7783
Cu: 0.0621 0.5533 0.4565
Cu: 0.5569 0.0651 0.4571
H: 0.1351 0.1329 0.3415
H: 0.2794 0.2784 0.1882
H: 0.9294 0.9158 0.6266
S: 0.4086 0.4101 0.7749
S: 0.6146 0.6129 0.2131
O: 0.2381 0.2360 0.3235
O: 0.3105 0.3100 0.9591
O: 0.3141 0.6906 0.7433
O: 0.3187 0.3209 0.6402
O: 0.3344 0.7163 0.2628
O: 0.6879 0.6881 0.0172
O: 0.6899 0.3179 0.7431
O: 0.7185 0.3333 0.2622
O: 0.7278 0.7236 0.3168
O: 0.8415 0.8382 0.5798

=====

Calculated X-ray diffraction stick pattern of CsScI3 for CuKα, from a PBE-relaxed structure.
Intensities are scaled so that the largest is 100.

Largest 12 diffraction maxima, sorted by position, 10° ≤ 2θ ≤ 80°:
d = 3.718 Å, intensity 15.8; d = 3.347 Å, intensity 19.9; d = 3.251 Å, intensity 100.0; d = 2.488 Å, intensity 22.1; d = 2.147 Å, intensity 24.4; d = 1.913 Å, intensity 21.7; d = 1.807 Å, intensity 20.2; d = 1.791 Å, intensity 17.6; d = 1.625 Å, intensity 6.0; d = 1.428 Å, intensity 8.3; d = 1.375 Å, intensity 14.7; d = 1.320 Å, intensity 10.0

Cell and atoms:
Cell: 8.5868 8.5868 6.6947 Å, 90.00 90.00 120.00°
Sites, in units of the cell vectors:
Cs: 0.3333 0.6667 0.2500
Cs: 0.6667 0.3333 0.7500
Sc: 0.0000 0.0000 0.0000
Sc: 0.0000 0.0000 0.5000
I: 0.1655 0.3310 0.7500
I: 0.1655 0.8345 0.7500
I: 0.3310 0.1655 0.2500
I: 0.6690 0.8345 0.7500
I: 0.8345 0.1655 0.2500
I: 0.8345 0.6690 0.2500

=====

Calculated X-ray diffraction stick pattern of Rb2TcI6 for CuKα, from a PBE-relaxed structure.
Intensities are scaled so that the largest is 100.

Largest 12 diffraction maxima, sorted by position, 10° ≤ 2θ ≤ 80°:
d = 6.578 Å, intensity 17.2; d = 5.697 Å, intensity 14.0; d = 3.289 Å, intensity 100.0; d = 2.848 Å, intensity 79.0; d = 2.548 Å, intensity 6.6; d = 2.193 Å, intensity 6.3; d = 2.014 Å, intensity 56.5; d = 1.718 Å, intensity 43.0; d = 1.645 Å, intensity 19.3; d = 1.424 Å, intensity 8.8; d = 1.307 Å, intensity 16.7; d = 1.274 Å, intensity 24.0

Cell and atoms:
Cell: 8.0567 8.0567 8.0567 Å, 60.00 60.00 60.00°
Sites, in units of the cell vectors:
Rb: 0.2500 0.2500 0.2500
Rb: 0.7500 0.7500 0.7500
Tc: 0.0000 0.0000 0.0000
I: 0.2401 0.2401 0.7599
I: 0.2401 0.7599 0.2401
I: 0.2401 0.7599 0.7599
I: 0.7599 0.2401 0.2401
I: 0.7599 0.2401 0.7599
I: 0.7599 0.7599 0.2401

=====

Calculated X-ray diffraction stick pattern of Ba11C2N10 for CuKα, from a PBE-relaxed structure.
Intensities are scaled so that the largest is 100.

Largest 12 diffraction maxima, sorted by position, 10° ≤ 2θ ≤ 80°:
d = 3.380 Å, intensity 56.0; d = 3.233 Å, intensity 72.4; d = 3.073 Å, intensity 100.0; d = 2.914 Å, intensity 38.9; d = 2.836 Å, intensity 23.1; d = 2.579 Å, intensity 16.3; d = 2.075 Å, intensity 20.3; d = 2.033 Å, intensity 38.6; d = 1.988 Å, intensity 16.4; d = 1.746 Å, intensity 24.9; d = 1.738 Å, intensity 13.1; d = 1.690 Å, intensity 14.8

Cell and atoms:
Cell: 16.4857 16.4857 4.1498 Å, 90.00 90.00 90.00°
Sites, in units of the cell vectors:
Ba: 0.0000 0.0000 0.0000
Ba: 0.0189 0.2073 0.5000
Ba: 0.1166 0.6180 0.5000
Ba: 0.1180 0.3834 0.0000
Ba: 0.1754 0.8246 0.0000
Ba: 0.2073 0.0189 0.5000
Ba: 0.2927 0.5189 0.0000
Ba: 0.3246 0.3246 0.5000
Ba: 0.3820 0.8834 0.5000
Ba: 0.3834 0.1180 0.0000
Ba: 0.4811 0.7073 0.0000
Ba: 0.5000 0.5000 0.5000
Ba: 0.5189 0.2927 0.0000
Ba: 0.6166 0.8820 0.0000
Ba: 0.6180 0.1166 0.5000
Ba: 0.6754 0.6754 0.5000
Ba: 0.7073 0.4811 0.0000
Ba: 0.7927 0.9811 0.5000
Ba: 0.8246 0.1754 0.0000
Ba: 0.8820 0.6166 0.0000
Ba: 0.8834 0.3820 0.5000
Ba: 0.9811 0.7927 0.5000
C: 0.1781 0.1781 0.0000
C: 0.3219 0.6781 0.5000
C: 0.6781 0.3219 0.5000
C: 0.8219 0.8219 0.0000
N: 0.0359 0.6878 0.0000
N: 0.0955 0.9045 0.5000
N: 0.1245 0.1245 0.0000
N: 0.1878 0.4641 0.5000
N: 0.2313 0.2313 0.0000
N: 0.2687 0.7313 0.5000
N: 0.3122 0.9641 0.0000
N: 0.3755 0.6245 0.5000
N: 0.4045 0.4045 0.0000
N: 0.4641 0.1878 0.5000
N: 0.5359 0.8122 0.5000
N: 0.5955 0.5955 0.0000
N: 0.6245 0.3755 0.5000
N: 0.6878 0.0359 0.0000
N: 0.7313 0.2687 0.5000
N: 0.7687 0.7687 0.0000
N: 0.8122 0.5359 0.5000
N: 0.8755 0.8755 0.0000
N: 0.9045 0.0955 0.5000
N: 0.9641 0.3122 0.0000

=====

Calculated X-ray diffraction stick pattern of Sr2SmS3 for CuKα, from a PBE-relaxed structure.
Intensities are scaled so that the largest is 100.

Largest 12 diffraction maxima, sorted by position, 10° ≤ 2θ ≤ 80°:
d = 3.563 Å, intensity 76.2; d = 3.535 Å, intensity 37.9; d = 3.104 Å, intensity 51.1; d = 2.917 Å, intensity 100.0; d = 2.857 Å, intensity 65.1; d = 2.828 Å, intensity 45.2; d = 2.250 Å, intensity 42.7; d = 2.063 Å, intensity 35.9; d = 2.041 Å, intensity 24.2; d = 2.031 Å, intensity 67.4; d = 1.785 Å, intensity 23.7; d = 1.667 Å, intensity 35.5

Cell and atoms:
Cell: 4.1253 4.1253 14.1409 Å, 90.00 90.00 90.00°
Sites, in units of the cell vectors:
Sr: 0.0000 0.0000 0.2046
Sr: 0.0000 0.0000 0.7954
Sm: 0.5000 0.5000 0.0000
S: 0.0000 0.0000 0.0000
S: 0.5000 0.5000 0.2066
S: 0.5000 0.5000 0.7934

=====

Calculated X-ray diffraction stick pattern of MgTe4Mo2W2Se2S2 for CuKα, from a PBE-relaxed structure.
Intensities are scaled so that the largest is 100.

Largest 12 diffraction maxima, sorted by position, 10° ≤ 2θ ≤ 80°:
d = 7.467 Å, intensity 37.8; d = 2.938 Å, intensity 62.2; d = 2.915 Å, intensity 17.2; d = 2.793 Å, intensity 35.5; d = 2.603 Å, intensity 88.2; d = 2.458 Å, intensity 44.7; d = 2.236 Å, intensity 100.0; d = 2.165 Å, intensity 20.6; d = 2.095 Å, intensity 26.0; d = 1.697 Å, intensity 40.9; d = 1.667 Å, intensity 19.9; d = 1.352 Å, intensity 20.0

Cell and atoms:
Cell: 3.3943 3.3943 44.8006 Å, 90.00 90.00 120.00°
Sites, in units of the cell vectors:
Mg: 0.0000 0.0000 0.0000
Te: 0.3333 0.6667 0.2379
Te: 0.3333 0.6667 0.3220
Te: 0.6667 0.3333 0.6743
Te: 0.6667 0.3333 0.7580
Mo: 0.3333 0.6667 0.0976
Mo: 0.3333 0.6667 0.7161
W: 0.6667 0.3333 0.2800
W: 0.6667 0.3333 0.8967
Se: 0.6667 0.3333 0.0602
Se: 0.6667 0.3333 0.1343
S: 0.3333 0.6667 0.8632
S: 0.3333 0.6667 0.9304

=====

Calculated X-ray diffraction stick pattern of Mg6BiMo for CuKα, from a PBE-relaxed structure.
Intensities are scaled so that the largest is 100.

Largest 12 diffraction maxima, sorted by position, 10° ≤ 2θ ≤ 80°:
d = 5.416 Å, intensity 100.0; d = 5.318 Å, intensity 22.8; d = 3.711 Å, intensity 40.7; d = 3.679 Å, intensity 41.2; d = 3.146 Å, intensity 17.6; d = 2.708 Å, intensity 23.4; d = 2.641 Å, intensity 44.0; d = 2.548 Å, intensity 33.0; d = 2.391 Å, intensity 82.7; d = 2.357 Å, intensity 41.1; d = 2.306 Å, intensity 24.2; d = 1.439 Å, intensity 16.6

Cell and atoms:
Cell: 5.0964 6.1786 6.1786 Å, 61.22 90.00 90.00°
Sites, in units of the cell vectors:
Mg: 0.0000 0.0000 0.0000
Mg: 0.0000 0.5084 0.9862
Mg: 0.0000 0.9862 0.5084
Mg: 0.5000 0.1560 0.6725
Mg: 0.5000 0.1678 0.1678
Mg: 0.5000 0.6725 0.1560
Bi: 0.0000 0.5057 0.5057
Mo: 0.5000 0.6708 0.6708

=====

Calculated X-ray diffraction stick pattern of Rb2ErCl5 for CuKα, from a PBE-relaxed structure.
Intensities are scaled so that the largest is 100.

Largest 12 diffraction maxima, sorted by position, 10° ≤ 2θ ≤ 80°:
d = 8.058 Å, intensity 27.1; d = 7.483 Å, intensity 35.2; d = 5.893 Å, intensity 26.9; d = 5.465 Å, intensity 62.5; d = 4.143 Å, intensity 100.0; d = 4.025 Å, intensity 94.5; d = 3.718 Å, intensity 58.6; d = 3.542 Å, intensity 41.7; d = 2.879 Å, intensity 46.7; d = 2.733 Å, intensity 68.6; d = 2.530 Å, intensity 52.7; d = 1.865 Å, intensity 50.6

Cell and atoms:
Cell: 9.5625 7.4357 14.9666 Å, 90.00 90.00 90.00°
Sites, in units of the cell vectors:
Rb: 0.0236 0.2500 0.2123
Rb: 0.1641 0.7500 0.4167
Rb: 0.3359 0.2500 0.9167
Rb: 0.4764 0.7500 0.7123
Rb: 0.5236 0.2500 0.2877
Rb: 0.6641 0.7500 0.0833
Rb: 0.8359 0.2500 0.5833
Rb: 0.9764 0.7500 0.7877
Er: 0.1789 0.7500 0.0654
Er: 0.3211 0.2500 0.5654
Er: 0.6789 0.7500 0.4346
Er: 0.8211 0.2500 0.9346
Cl: 0.0000 0.0000 0.0000
Cl: 0.0000 0.5000 0.0000
Cl: 0.0191 0.7500 0.2040
Cl: 0.1649 0.5067 0.6186
Cl: 0.1649 0.9933 0.6186
Cl: 0.2125 0.2500 0.4038
Cl: 0.2875 0.7500 0.9038
Cl: 0.3351 0.0067 0.1186
Cl: 0.3351 0.4933 0.1186
Cl: 0.4809 0.2500 0.7040
Cl: 0.5000 0.0000 0.5000
Cl: 0.5000 0.5000 0.5000
Cl: 0.5191 0.7500 0.2960
Cl: 0.6649 0.5067 0.8814
Cl: 0.6649 0.9933 0.8814
Cl: 0.7125 0.2500 0.0962
Cl: 0.7875 0.7500 0.5962
Cl: 0.8351 0.0067 0.3814
Cl: 0.8351 0.4933 0.3814
Cl: 0.9809 0.2500 0.7960

=====

Calculated X-ray diffraction stick pattern of MnNb4S8 for CuKα, from a PBE-relaxed structure.
Intensities are scaled so that the largest is 100.

Largest 12 diffraction maxima, sorted by position, 10° ≤ 2θ ≤ 80°:
d = 6.175 Å, intensity 85.1; d = 2.912 Å, intensity 36.4; d = 2.834 Å, intensity 19.2; d = 2.634 Å, intensity 64.5; d = 2.377 Å, intensity 12.3; d = 2.118 Å, intensity 100.0; d = 1.681 Å, intensity 49.6; d = 1.622 Å, intensity 13.3; d = 1.544 Å, intensity 8.7; d = 1.417 Å, intensity 8.9; d = 1.317 Å, intensity 19.8; d = 1.302 Å, intensity 7.5

Cell and atoms:
Cell: 6.7242 6.7242 12.3508 Å, 90.00 90.00 120.00°
Sites, in units of the cell vectors:
Mn: 0.0000 0.0000 0.0000
Mn: 0.0000 0.0000 0.5000
Nb: 0.0000 0.0000 0.2500
Nb: 0.0000 0.0000 0.7500
Nb: 0.0120 0.5060 0.2500
Nb: 0.4940 0.5060 0.2500
Nb: 0.4940 0.9880 0.2500
Nb: 0.5060 0.0120 0.7500
Nb: 0.5060 0.4940 0.7500
Nb: 0.9880 0.4940 0.7500
S: 0.1678 0.3356 0.6236
S: 0.1678 0.3356 0.8764
S: 0.1678 0.8322 0.6236
S: 0.1678 0.8322 0.8764
S: 0.3333 0.6667 0.1199
S: 0.3333 0.6667 0.3801
S: 0.3356 0.1678 0.1236
S: 0.3356 0.1678 0.3764
S: 0.6644 0.8322 0.6236
S: 0.6644 0.8322 0.8764
S: 0.6667 0.3333 0.6199
S: 0.6667 0.3333 0.8801
S: 0.8322 0.1678 0.1236
S: 0.8322 0.1678 0.3764
S: 0.8322 0.6644 0.1236
S: 0.8322 0.6644 0.3764

=====

Calculated X-ray diffraction stick pattern of V2InC for CuKα, from a PBE-relaxed structure.
Intensities are scaled so that the largest is 100.

Largest 12 diffraction maxima, sorted by position, 10° ≤ 2θ ≤ 80°:
d = 6.805 Å, intensity 11.6; d = 3.402 Å, intensity 10.0; d = 2.620 Å, intensity 17.4; d = 2.572 Å, intensity 12.6; d = 2.445 Å, intensity 4.9; d = 2.269 Å, intensity 100.0; d = 1.715 Å, intensity 12.8; d = 1.561 Å, intensity 4.5; d = 1.512 Å, intensity 15.5; d = 1.382 Å, intensity 3.8; d = 1.310 Å, intensity 14.2; d = 1.258 Å, intensity 24.9

Cell and atoms:
Cell: 3.0250 3.0250 13.6092 Å, 90.00 90.00 120.00°
Sites, in units of the cell vectors:
V: 0.3333 0.6667 0.0776
V: 0.3333 0.6667 0.4224
V: 0.6667 0.3333 0.5776
V: 0.6667 0.3333 0.9224
In: 0.3333 0.6667 0.7500
In: 0.6667 0.3333 0.2500
C: 0.0000 0.0000 0.0000
C: 0.0000 0.0000 0.5000

=====

Calculated X-ray diffraction stick pattern of MgPd5 for CuKα, from a PBE-relaxed structure.
Intensities are scaled so that the largest is 100.

Largest 12 diffraction maxima, sorted by position, 10° ≤ 2θ ≤ 80°:
d = 4.601 Å, intensity 3.6; d = 4.019 Å, intensity 7.7; d = 3.588 Å, intensity 6.0; d = 2.666 Å, intensity 2.4; d = 2.425 Å, intensity 25.3; d = 2.307 Å, intensity 2.0; d = 2.301 Å, intensity 27.2; d = 2.145 Å, intensity 100.0; d = 1.669 Å, intensity 16.5; d = 1.400 Å, intensity 16.3; d = 1.296 Å, intensity 18.9; d = 1.213 Å, intensity 2.7

Cell and atoms:
Cell: 5.3863 5.3863 5.3863 Å, 53.52 53.52 53.52°
Sites, in units of the cell vectors:
Mg: 0.0000 0.0000 0.0000
Pd: 0.1672 0.8328 0.5000
Pd: 0.3326 0.3326 0.3326
Pd: 0.5000 0.1672 0.8328
Pd: 0.6674 0.6674 0.6674
Pd: 0.8328 0.5000 0.1672